[1]
Diffraction record for RbLa2Hf. The X-ray diffraction stick pattern is simulated, not measured: it uses a DFT-relaxed cell (PBE, Alexandria) and Cu Ka.

Most intense lines, 2θ from 10° to 90°, in order of rising 2θ:
2θ = 18.60°, intensity 6
2θ = 30.60°, intensity 100
2θ = 36.04°, intensity 4
2θ = 43.82°, intensity 19
2θ = 47.98°, intensity 2
2θ = 54.39°, intensity 39
2θ = 63.70°, intensity 12
2θ = 72.31°, intensity 17
2θ = 80.52°, intensity 4
2θ = 88.54°, intensity 21

Atomic structure:
```
data_RbLa2Hf
_chemical_formula_sum 'Rb4 La8 Hf4'
_cell_length_a 8.2644
_cell_length_b 8.2644
_cell_length_c 8.2644
_cell_angle_alpha 90.00
_cell_angle_beta 90.00
_cell_angle_gamma 90.00
_symmetry_space_group_name_H-M 'F m -3 m'
_symmetry_Int_Tables_number 225
_symmetry_space_group_name_Hall '-F 4 2 3'
loop_
_atom_site_label
_atom_site_fract_x
_atom_site_fract_y
_atom_site_fract_z
_atom_site_occupancy
Rb1 0.0000 0.0000 0.0000 1
La1 0.2500 0.2500 0.2500 1
Hf1 0.0000 0.0000 0.5000 1
```

[2]
Diffraction record for Ba2Ca3Tl2Cu4O12. The X-ray diffraction stick pattern is simulated, not measured: it uses a DFT-relaxed cell (PBE, Alexandria) and Cu Ka.

Most intense lines, 2θ from 10° to 90°, in order of rising 2θ:
2θ = 26.89°, intensity 89
2θ = 29.32°, intensity 100
2θ = 32.12°, intensity 34
2θ = 32.34°, intensity 82
2θ = 32.83°, intensity 21
2θ = 38.54°, intensity 29
2θ = 46.39°, intensity 53
2θ = 46.75°, intensity 27
2θ = 54.44°, intensity 26
2θ = 55.83°, intensity 34

Atomic structure:
```
data_Ba2Ca3Tl2Cu4O12
_chemical_formula_sum 'Ba4 Ca6 Tl4 Cu8 O24'
_cell_length_a 3.9146
_cell_length_b 3.9146
_cell_length_c 43.6541
_cell_angle_alpha 90.00
_cell_angle_beta 90.00
_cell_angle_gamma 90.00
_symmetry_space_group_name_H-M 'I 4/m m m'
_symmetry_Int_Tables_number 139
_symmetry_space_group_name_Hall '-I 4 2'
loop_
_atom_site_label
_atom_site_fract_x
_atom_site_fract_y
_atom_site_fract_z
_atom_site_occupancy
Ba1 0.0000 0.0000 0.1549 1
Ca1 0.0000 0.0000 0.0000 1
Ca2 0.0000 0.0000 0.0739 1
Tl1 0.0000 0.0000 0.2764 1
Cu1 0.0000 0.0000 0.3915 1
Cu2 0.0000 0.0000 0.4631 1
O1 0.0000 0.0000 0.3250 1
O2 0.0000 0.5000 0.0365 1
O3 0.0000 0.5000 0.1092 1
O4 0.0000 0.5000 0.2500 1
```

[3]
Diffraction record for Na2In7. The X-ray diffraction stick pattern is simulated, not measured: it uses a DFT-relaxed cell (PBE, Alexandria) and Cu Ka.

Most intense lines, 2θ from 10° to 90°, in order of rising 2θ:
2θ = 10.54°, intensity 16
2θ = 31.99°, intensity 34
2θ = 32.90°, intensity 100
2θ = 37.91°, intensity 66
2θ = 54.09°, intensity 24
2θ = 55.28°, intensity 21
2θ = 64.23°, intensity 13
2θ = 65.31°, intensity 24
2θ = 65.85°, intensity 13
2θ = 68.99°, intensity 11

Atomic structure:
```
data_Na2In7
_chemical_formula_sum 'Na2 In7'
_cell_length_a 5.7563
_cell_length_b 5.7563
_cell_length_c 8.3935
_cell_angle_alpha 90.00
_cell_angle_beta 90.00
_cell_angle_gamma 120.00
_symmetry_space_group_name_H-M 'P -3 1 m'
_symmetry_Int_Tables_number 162
_symmetry_space_group_name_Hall '-P 3 2'
loop_
_atom_site_label
_atom_site_fract_x
_atom_site_fract_y
_atom_site_fract_z
_atom_site_occupancy
Na1 0.3333 0.6667 0.0000 1
In1 0.0000 0.0000 0.0000 1
In2 0.0000 0.3273 0.6714 1
```